Diffraction record for Na3BeCr3O8. The powder diffraction line list is theoretical, not measured: it uses DFT lattice parameters and positions (GGA+U) and copper Kα.
Peak positions follow from Bragg's law for the DFT cell and can differ from measured ones.

Structural model:
```
Na3BeCr3O8
1.0
5.0760 -2.9137 0.0000
5.0760 2.9137 0.0000
-3.4086 0.0000 5.4216
Na Be Cr O
3 1 3 8
Cartesian
0.0000 0.0000 0.0000
2.5380 1.4568 0.0000
2.5380 -1.4568 0.0000
-1.7043 0.0000 2.7108
0.8337 1.4568 2.7108
0.8337 -1.4568 2.7108
3.3717 0.0000 2.7108
2.5266 1.5687 3.6527
0.1300 0.0000 3.7784
4.2168 1.5687 1.7689
1.6750 0.0000 1.6148
5.0685 0.0000 3.8067
2.5266 -1.5687 3.6527
6.6134 0.0000 1.6432
4.2168 -1.5687 1.7689
```

Most intense lines, 5° ≤ 2θ ≤ 70°, low angle first:
16.35 deg, I = 78; 20.67 deg, I = 29; 28.20 deg, I = 8; 30.55 deg, I = 7; 33.04 deg, I = 12; 37.29 deg, I = 11; 42.06 deg, I = 100; 53.54 deg, I = 13; 57.99 deg, I = 8; 58.32 deg, I = 17; 63.59 deg, I = 17; 63.90 deg, I = 8